This entry pairs a crystal structure of Tl3S2I with its computed powder X-ray diffraction pattern. Radiation: Cu Kα. Structure: a crystal structure in Alexandria, relaxed with PBE.

Structure:
```
data_Tl3S2I
_chemical_formula_sum 'Tl6 S4 I2'
_cell_length_a 5.3885
_cell_length_b 16.6200
_cell_length_c 4.5288
_cell_angle_alpha 90.00
_cell_angle_beta 90.00
_cell_angle_gamma 90.00
_space_group_name_H-M_alt 'P 1'
_space_group_IT_number 1
loop_
_space_group_symop_operation_xyz
'x,y,z'
loop_
_atom_site_label
_atom_site_type_symbol
_atom_site_fract_x
_atom_site_fract_y
_atom_site_fract_z
Tl1 Tl 0.2500 0.0500 0.2451
Tl2 Tl 0.2500 0.4500 0.2451
Tl3 Tl 0.2500 0.7500 0.6919
Tl4 Tl 0.7500 0.2500 0.3081
Tl5 Tl 0.7500 0.5500 0.7549
Tl6 Tl 0.7500 0.9500 0.7549
S1 S 0.2500 0.5616 0.7489
S2 S 0.2500 0.9384 0.7489
S3 S 0.7500 0.0616 0.2511
S4 S 0.7500 0.4384 0.2511
I1 I 0.2500 0.2500 0.8072
I2 I 0.7500 0.7500 0.1928
```

Principal peaks in the range 2θ from 5° to 70°, sorted by position:
2θ = 20.32°, d 4.369, I = 15, (0 1 1); 2θ = 21.39°, d 4.155, I = 29, (0 4 0); 2θ = 23.02°, d 3.863, I = 26, (1 3 0); 2θ = 25.40°, d 3.506, I = 19, (0 3 1); 2θ = 27.88°, d 3.200, I = 100, (1 2 1); 2θ = 33.25°, d 2.694, I = 30, (2 0 0); 2θ = 33.44°, d 2.680, I = 26, (0 5 1); 2θ = 39.84°, d 2.263, I = 26, (0 0 2); 2θ = 47.88°, d 1.900, I = 19, (2 5 1); 2θ = 51.27°, d 1.782, I = 18, (1 8 1); 2θ = 52.81°, d 1.733, I = 13, (2 0 2); 2θ = 56.19°, d 1.637, I = 16, (3 2 1)

***

This entry pairs a crystal structure of Li3IrO4 with its computed powder X-ray diffraction pattern. Radiation: Cu Kα. Structure: a crystal structure in Alexandria, relaxed with PBE.

Structure:
```
data_Li3IrO4
_chemical_formula_sum 'Li6 Ir2 O8'
_cell_length_a 5.1464
_cell_length_b 5.9948
_cell_length_c 5.2078
_cell_angle_alpha 90.00
_cell_angle_beta 110.15
_cell_angle_gamma 90.00
_space_group_name_H-M_alt 'P 1'
_space_group_IT_number 1
loop_
_space_group_symop_operation_xyz
'x,y,z'
loop_
_atom_site_label
_atom_site_type_symbol
_atom_site_fract_x
_atom_site_fract_y
_atom_site_fract_z
Li1 Li 0.0000 0.0939 0.2500
Li2 Li 0.0000 0.3611 0.7500
Li3 Li 0.0000 0.6389 0.2500
Li4 Li 0.0000 0.9061 0.7500
Li5 Li 0.5000 0.1149 0.7500
Li6 Li 0.5000 0.8851 0.2500
Ir1 Ir 0.5000 0.3609 0.2500
Ir2 Ir 0.5000 0.6391 0.7500
O1 O 0.2555 0.1379 0.0171
O2 O 0.2555 0.8621 0.5171
O3 O 0.2777 0.3916 0.4984
O4 O 0.2777 0.6084 0.9984
O5 O 0.7223 0.3916 0.0016
O6 O 0.7223 0.6084 0.5016
O7 O 0.7445 0.1379 0.4829
O8 O 0.7445 0.8621 0.9829
```

Principal peaks in the range 2θ from 5° to 70°, sorted by position:
2θ = 14.78°, d 5.995, I = 65, (0 1 0); 2θ = 18.36°, d 4.831, I = 100, (1 0 0); 2θ = 23.48°, d 3.789, I = 63, (0 1 1); 2θ = 23.65°, d 3.762, I = 45, (1 1 0); 2θ = 25.72°, d 3.464, I = 54, (1 1 -1); 2θ = 33.74°, d 2.657, I = 24, (1 1 1); 2θ = 34.96°, d 2.566, I = 19, (1 0 -2); 2θ = 35.12°, d 2.555, I = 35, (0 2 1); 2θ = 36.73°, d 2.447, I = 28, (0 0 2); 2θ = 38.48°, d 2.340, I = 15, (2 1 -1); 2θ = 42.60°, d 2.122, I = 23, (2 0 -2); 2θ = 42.91°, d 2.107, I = 44, (1 2 1)

***

This entry pairs a crystal structure of La2SmHfP4 with its computed powder X-ray diffraction pattern. Radiation: Cu Kα. Structure: a crystal structure in Alexandria, relaxed with PBE.

Structure:
```
data_La2SmHfP4
_chemical_formula_sum 'La2 Sm1 Hf1 P4'
_cell_length_a 7.0374
_cell_length_b 4.0554
_cell_length_c 7.0817
_cell_angle_alpha 90.00
_cell_angle_beta 109.10
_cell_angle_gamma 90.00
_space_group_name_H-M_alt 'P 1'
_space_group_IT_number 1
loop_
_space_group_symop_operation_xyz
'x,y,z'
loop_
_atom_site_label
_atom_site_type_symbol
_atom_site_fract_x
_atom_site_fract_y
_atom_site_fract_z
La1 La 0.0000 0.0000 0.0000
La2 La 0.5000 0.5000 0.0000
Sm1 Sm 0.0000 0.5000 0.5000
Hf1 Hf 0.5000 0.0000 0.5000
P1 P 0.2585 0.0000 0.7309
P2 P 0.2722 0.5000 0.2772
P3 P 0.7278 0.5000 0.7228
P4 P 0.7415 0.0000 0.2691
```

Principal peaks in the range 2θ from 5° to 70°, sorted by position:
2θ = 26.64°, d 3.346, I = 22, (0 0 2); 2θ = 26.87°, d 3.318, I = 62, (2 0 0); 2θ = 31.06°, d 2.879, I = 100, (1 1 1); 2θ = 44.24°, d 2.047, I = 12, (2 0 2); 2θ = 44.41°, d 2.040, I = 24, (1 1 -3); 2θ = 44.65°, d 2.030, I = 36, (0 2 0); 2θ = 52.44°, d 1.745, I = 7, (1 1 3); 2θ = 52.62°, d 1.739, I = 11, (2 0 -4); 2θ = 52.84°, d 1.733, I = 24, (3 1 -3); 2θ = 55.25°, d 1.663, I = 6, (4 0 0); 2θ = 55.45°, d 1.657, I = 13, (2 2 -2); 2θ = 64.70°, d 1.441, I = 8, (2 2 2)

***

This entry pairs a crystal structure of La3Ga2Rh2 with its computed powder X-ray diffraction pattern. Radiation: Cu Kα. Structure: a crystal structure in Alexandria, relaxed with PBE.

Structure:
```
data_La3Ga2Rh2
_chemical_formula_sum 'La12 Ga8 Rh8'
_cell_length_a 5.7865
_cell_length_b 8.2600
_cell_length_c 13.8679
_cell_angle_alpha 90.00
_cell_angle_beta 90.00
_cell_angle_gamma 90.00
_space_group_name_H-M_alt 'P 1'
_space_group_IT_number 1
loop_
_space_group_symop_operation_xyz
'x,y,z'
loop_
_atom_site_label
_atom_site_type_symbol
_atom_site_fract_x
_atom_site_fract_y
_atom_site_fract_z
La1 La 0.1347 0.2409 0.2500
La2 La 0.1347 0.2591 0.7500
La3 La 0.3475 0.5994 0.0958
La4 La 0.3475 0.5994 0.4042
La5 La 0.3475 0.9006 0.5958
La6 La 0.3475 0.9006 0.9042
La7 La 0.6525 0.0994 0.0958
La8 La 0.6525 0.0994 0.4042
La9 La 0.6525 0.4006 0.5958
La10 La 0.6525 0.4006 0.9042
La11 La 0.8653 0.7409 0.2500
La12 La 0.8653 0.7591 0.7500
Ga1 Ga 0.1336 0.2500 0.0000
Ga2 Ga 0.1336 0.2500 0.5000
Ga3 Ga 0.3607 0.6091 0.7500
Ga4 Ga 0.3607 0.8909 0.2500
Ga5 Ga 0.6393 0.1091 0.7500
Ga6 Ga 0.6393 0.3909 0.2500
Ga7 Ga 0.8664 0.7500 0.0000
Ga8 Ga 0.8664 0.7500 0.5000
Rh1 Rh 0.1371 0.5317 0.5909
Rh2 Rh 0.1371 0.5317 0.9091
Rh3 Rh 0.1371 0.9683 0.0909
Rh4 Rh 0.1371 0.9683 0.4091
Rh5 Rh 0.8629 0.0317 0.5909
Rh6 Rh 0.8629 0.0317 0.9091
Rh7 Rh 0.8629 0.4683 0.0909
Rh8 Rh 0.8629 0.4683 0.4091
```

Principal peaks in the range 2θ from 5° to 70°, sorted by position:
2θ = 28.99°, d 3.080, I = 26, (0 2 3); 2θ = 31.98°, d 2.798, I = 45, (1 1 4); 2θ = 32.80°, d 2.731, I = 49, (2 1 0); 2θ = 32.95°, d 2.719, I = 47, (1 2 3); 2θ = 33.45°, d 2.679, I = 23, (2 1 1); 2θ = 33.75°, d 2.655, I = 51, (0 2 4); 2θ = 36.13°, d 2.486, I = 74, (1 3 0); 2θ = 38.28°, d 2.351, I = 100, (2 1 3); 2θ = 38.97°, d 2.311, I = 39, (0 0 6); 2θ = 41.23°, d 2.190, I = 23, (1 3 3); 2θ = 54.18°, d 1.693, I = 25, (1 3 6); 2θ = 56.28°, d 1.635, I = 24, (3 2 3)

***

What did the fourth record say?
This entry pairs a crystal structure of La3Ga2Rh2 with its computed powder X-ray diffraction pattern. Radiation: Cu Kα. Structure: a crystal structure in Alexandria, relaxed with PBE.

Structure:
```
data_La3Ga2Rh2
_chemical_formula_sum 'La12 Ga8 Rh8'
_cell_length_a 5.7865
_cell_length_b 8.2600
_cell_length_c 13.8679
_cell_angle_alpha 90.00
_cell_angle_beta 90.00
_cell_angle_gamma 90.00
_space_group_name_H-M_alt 'P 1'
_space_group_IT_number 1
loop_
_space_group_symop_operation_xyz
'x,y,z'
loop_
_atom_site_label
_atom_site_type_symbol
_atom_site_fract_x
_atom_site_fract_y
_atom_site_fract_z
La1 La 0.1347 0.2409 0.2500
La2 La 0.1347 0.2591 0.7500
La3 La 0.3475 0.5994 0.0958
La4 La 0.3475 0.5994 0.4042
La5 La 0.3475 0.9006 0.5958
La6 La 0.3475 0.9006 0.9042
La7 La 0.6525 0.0994 0.0958
La8 La 0.6525 0.0994 0.4042
La9 La 0.6525 0.4006 0.5958
La10 La 0.6525 0.4006 0.9042
La11 La 0.8653 0.7409 0.2500
La12 La 0.8653 0.7591 0.7500
Ga1 Ga 0.1336 0.2500 0.0000
Ga2 Ga 0.1336 0.2500 0.5000
Ga3 Ga 0.3607 0.6091 0.7500
Ga4 Ga 0.3607 0.8909 0.2500
Ga5 Ga 0.6393 0.1091 0.7500
Ga6 Ga 0.6393 0.3909 0.2500
Ga7 Ga 0.8664 0.7500 0.0000
Ga8 Ga 0.8664 0.7500 0.5000
Rh1 Rh 0.1371 0.5317 0.5909
Rh2 Rh 0.1371 0.5317 0.9091
Rh3 Rh 0.1371 0.9683 0.0909
Rh4 Rh 0.1371 0.9683 0.4091
Rh5 Rh 0.8629 0.0317 0.5909
Rh6 Rh 0.8629 0.0317 0.9091
Rh7 Rh 0.8629 0.4683 0.0909
Rh8 Rh 0.8629 0.4683 0.4091
```

Principal peaks in the range 2θ from 5° to 70°, sorted by position:
2θ = 28.99°, d 3.080, I = 26, (0 2 3); 2θ = 31.98°, d 2.798, I = 45, (1 1 4); 2θ = 32.80°, d 2.731, I = 49, (2 1 0); 2θ = 32.95°, d 2.719, I = 47, (1 2 3); 2θ = 33.45°, d 2.679, I = 23, (2 1 1); 2θ = 33.75°, d 2.655, I = 51, (0 2 4); 2θ = 36.13°, d 2.486, I = 74, (1 3 0); 2θ = 38.28°, d 2.351, I = 100, (2 1 3); 2θ = 38.97°, d 2.311, I = 39, (0 0 6); 2θ = 41.23°, d 2.190, I = 23, (1 3 3); 2θ = 54.18°, d 1.693, I = 25, (1 3 6); 2θ = 56.28°, d 1.635, I = 24, (3 2 3)

***

Repeat the third record exactly.
This entry pairs a crystal structure of La2SmHfP4 with its computed powder X-ray diffraction pattern. Radiation: Cu Kα. Structure: a crystal structure in Alexandria, relaxed with PBE.

Structure:
```
data_La2SmHfP4
_chemical_formula_sum 'La2 Sm1 Hf1 P4'
_cell_length_a 7.0374
_cell_length_b 4.0554
_cell_length_c 7.0817
_cell_angle_alpha 90.00
_cell_angle_beta 109.10
_cell_angle_gamma 90.00
_space_group_name_H-M_alt 'P 1'
_space_group_IT_number 1
loop_
_space_group_symop_operation_xyz
'x,y,z'
loop_
_atom_site_label
_atom_site_type_symbol
_atom_site_fract_x
_atom_site_fract_y
_atom_site_fract_z
La1 La 0.0000 0.0000 0.0000
La2 La 0.5000 0.5000 0.0000
Sm1 Sm 0.0000 0.5000 0.5000
Hf1 Hf 0.5000 0.0000 0.5000
P1 P 0.2585 0.0000 0.7309
P2 P 0.2722 0.5000 0.2772
P3 P 0.7278 0.5000 0.7228
P4 P 0.7415 0.0000 0.2691
```

Principal peaks in the range 2θ from 5° to 70°, sorted by position:
2θ = 26.64°, d 3.346, I = 22, (0 0 2); 2θ = 26.87°, d 3.318, I = 62, (2 0 0); 2θ = 31.06°, d 2.879, I = 100, (1 1 1); 2θ = 44.24°, d 2.047, I = 12, (2 0 2); 2θ = 44.41°, d 2.040, I = 24, (1 1 -3); 2θ = 44.65°, d 2.030, I = 36, (0 2 0); 2θ = 52.44°, d 1.745, I = 7, (1 1 3); 2θ = 52.62°, d 1.739, I = 11, (2 0 -4); 2θ = 52.84°, d 1.733, I = 24, (3 1 -3); 2θ = 55.25°, d 1.663, I = 6, (4 0 0); 2θ = 55.45°, d 1.657, I = 13, (2 2 -2); 2θ = 64.70°, d 1.441, I = 8, (2 2 2)